# 1
Simulated powder diffractogram of PaAsNO for λ = 1.5418 Å (Cu Kα), from a PBE-relaxed structure.

Atomic structure:
```
data_PaAsNO
_chemical_formula_sum 'Pa2 As2 N2 O2'
_symmetry_space_group_name_H-M 'P 4/n m m'
_symmetry_Int_Tables_number 129
_cell_length_a 3.5907
_cell_length_b 3.5907
_cell_length_c 8.4479
_cell_angle_alpha 90.00
_cell_angle_beta 90.00
_cell_angle_gamma 90.00
loop_
_symmetry_equiv_pos_as_xyz
'x,y,z'
'-x,-y,-z'
'-y+1/2,x,z'
'y+1/2,-x,-z'
'-x+1/2,-y+1/2,z'
'x+1/2,y+1/2,-z'
'y,-x+1/2,z'
'-y,x+1/2,-z'
'x+1/2,-y,-z'
'-x+1/2,y,z'
'-y,-x,-z'
'y,x,z'
'-x,y+1/2,-z'
'x,-y+1/2,z'
'y+1/2,x+1/2,-z'
'-y+1/2,-x+1/2,z'
loop_
_atom_site_label
_atom_site_fract_x
_atom_site_fract_y
_atom_site_fract_z
Pa1 0.2500 0.2500 0.1802
As1 0.2500 0.7500 0.5000
N1 0.2500 0.2500 0.7625
O1 0.2500 0.7500 0.0000
```

The 10 most intense peaks (2θ from 10° to 80°), in order of falling intensity:
d = 3.305 Å, 26.98 deg, rel. 100, (1 0 1)
d = 2.176 Å, 41.50 deg, rel. 56, (1 1 2)
d = 2.736 Å, 32.73 deg, rel. 50, (1 0 2)
d = 2.816 Å, 31.78 deg, rel. 37, (0 0 3)
d = 2.432 Å, 36.97 deg, rel. 31, (1 1 1)
d = 1.795 Å, 50.86 deg, rel. 27, (2 0 0)
d = 1.578 Å, 58.51 deg, rel. 26, (2 1 1)
d = 1.820 Å, 50.11 deg, rel. 25, (1 0 4)
d = 1.514 Å, 61.23 deg, rel. 24, (2 0 3)
d = 1.407 Å, 66.45 deg, rel. 19, (0 0 6)

# 2
Simulated powder diffractogram of PrAsN2O for λ = 1.5418 Å (Cu Kα), from a PBE-relaxed structure.

Atomic structure:
```
data_PrAsN2O
_chemical_formula_sum 'Pr2 As2 N4 O2'
_symmetry_space_group_name_H-M 'P m c 21'
_symmetry_Int_Tables_number 26
_symmetry_space_group_name_Hall 'P 2c -2'
_cell_length_a 3.6745
_cell_length_b 6.1773
_cell_length_c 5.4999
_cell_angle_alpha 90.00
_cell_angle_beta 90.00
_cell_angle_gamma 90.00
loop_
_atom_site_label
_atom_site_fract_x
_atom_site_fract_y
_atom_site_fract_z
Pr1 0.0000 0.1650 0.0000
As1 0.5000 0.3317 0.5078
N1 0.0000 0.2313 0.5111
N2 0.5000 0.4132 0.8448
O1 0.5000 0.0720 0.2863
```

The 10 most intense peaks (2θ from 10° to 80°), in order of falling intensity:
d = 2.739 Å, 32.70 deg, rel. 100, (1 1 1)
d = 2.693 Å, 33.27 deg, rel. 51, (0 2 1)
d = 2.750 Å, 32.56 deg, rel. 38, (0 0 2)
d = 3.158 Å, 28.26 deg, rel. 29, (1 1 0)
d = 1.504 Å, 61.68 deg, rel. 26, (1 3 2)
d = 1.796 Å, 50.83 deg, rel. 25, (1 3 0)
d = 2.074 Å, 43.64 deg, rel. 21, (1 1 2)
d = 1.586 Å, 58.19 deg, rel. 21, (1 1 3)
d = 1.518 Å, 61.05 deg, rel. 18, (2 2 1)
d = 1.837 Å, 49.62 deg, rel. 17, (2 0 0)

# 3
Simulated powder diffractogram of PrAsN2O for λ = 1.5418 Å (Cu Kα), from a PBE-relaxed structure.

Atomic structure:
```
data_PrAsN2O
_chemical_formula_sum 'Pr4 As4 N8 O4'
_symmetry_space_group_name_H-M 'P 1 21/m 1'
_symmetry_Int_Tables_number 11
_symmetry_space_group_name_Hall '-P 2yb'
_cell_length_a 5.4728
_cell_length_b 7.0534
_cell_length_c 6.5931
_cell_angle_alpha 90.00
_cell_angle_beta 90.75
_cell_angle_gamma 90.00
loop_
_atom_site_label
_atom_site_fract_x
_atom_site_fract_y
_atom_site_fract_z
Pr1 0.2499 0.0044 0.1610
As1 0.2283 0.2500 0.7046
As2 0.2811 0.7500 0.6230
N1 0.1053 0.7500 0.3928
N2 0.2366 0.5357 0.7729
N3 0.3875 0.2500 0.4443
O1 0.0417 0.2500 0.9567
O2 0.4889 0.2500 0.9089
```

The 10 most intense peaks (2θ from 10° to 80°), in order of falling intensity:
d = 2.696 Å, 33.23 deg, rel. 100, (1 2 1)
d = 2.711 Å, 33.04 deg, rel. 90, (1 2 -1)
d = 2.736 Å, 32.73 deg, rel. 77, (2 0 0)
d = 3.110 Å, 28.71 deg, rel. 62, (0 2 1)
d = 2.807 Å, 31.88 deg, rel. 60, (1 0 2)
d = 2.840 Å, 31.50 deg, rel. 55, (1 0 -2)
d = 1.865 Å, 48.83 deg, rel. 47, (0 2 3)
d = 1.763 Å, 51.85 deg, rel. 32, (0 4 0)
d = 1.533 Å, 60.37 deg, rel. 26, (2 2 3)
d = 6.592 Å, 13.43 deg, rel. 25, (0 0 1)

# 4
Simulated powder diffractogram of AsPtNO for λ = 1.5418 Å (Cu Kα), from a PBE-relaxed structure.

Atomic structure:
```
data_AsPtNO
_chemical_formula_sum 'As2 Pt2 N2 O2'
_symmetry_space_group_name_H-M 'P m c 21'
_symmetry_Int_Tables_number 26
_symmetry_space_group_name_Hall 'P 2c -2'
_cell_length_a 2.8454
_cell_length_b 6.1623
_cell_length_c 7.0407
_cell_angle_alpha 90.00
_cell_angle_beta 90.00
_cell_angle_gamma 90.00
loop_
_atom_site_label
_atom_site_fract_x
_atom_site_fract_y
_atom_site_fract_z
As1 0.0000 0.2135 0.0000
Pt1 0.5000 0.1996 0.2957
N1 0.0000 0.0857 0.4656
O1 0.5000 0.3245 0.8598
```

The 10 most intense peaks (2θ from 10° to 80°), in order of falling intensity:
d = 4.637 Å, 19.14 deg, rel. 100, (0 1 1)
d = 2.425 Å, 37.07 deg, rel. 54, (1 1 1)
d = 2.213 Å, 40.78 deg, rel. 41, (1 0 2)
d = 3.081 Å, 28.98 deg, rel. 35, (0 2 0)
d = 2.193 Å, 41.16 deg, rel. 28, (0 1 3)
d = 1.797 Å, 50.80 deg, rel. 27, (1 2 2)
d = 6.162 Å, 14.37 deg, rel. 24, (0 1 0)
d = 3.520 Å, 25.30 deg, rel. 20, (0 0 2)
d = 1.505 Å, 61.61 deg, rel. 17, (1 3 2)
d = 2.823 Å, 31.70 deg, rel. 16, (0 2 1)

# 5
Simulated powder diffractogram of TmAsN2O for λ = 1.5418 Å (Cu Kα), from a PBE-relaxed structure.

Atomic structure:
```
data_TmAsN2O
_chemical_formula_sum 'Tm4 As4 N8 O4'
_symmetry_space_group_name_H-M 'P m c 21'
_symmetry_Int_Tables_number 26
_symmetry_space_group_name_Hall 'P 2c -2'
_cell_length_a 7.1976
_cell_length_b 5.7020
_cell_length_c 5.5618
_cell_angle_alpha 90.00
_cell_angle_beta 90.00
_cell_angle_gamma 90.00
loop_
_atom_site_label
_atom_site_fract_x
_atom_site_fract_y
_atom_site_fract_z
Tm1 0.0000 0.1810 0.0000
Tm2 0.5000 0.1933 0.8981
As1 0.2474 0.3341 0.4414
N1 0.0000 0.1944 0.4135
N2 0.2073 0.3922 0.7809
N3 0.5000 0.3665 0.5337
O1 0.3005 0.1026 0.2043
```

The 10 most intense peaks (2θ from 10° to 80°), in order of falling intensity:
d = 2.670 Å, 33.57 deg, rel. 100, (2 1 1)
d = 2.537 Å, 35.38 deg, rel. 34, (0 2 1)
d = 2.781 Å, 32.19 deg, rel. 27, (0 0 2)
d = 3.981 Å, 22.33 deg, rel. 18, (0 1 1)
d = 2.851 Å, 31.38 deg, rel. 18, (0 2 0)
d = 3.043 Å, 29.35 deg, rel. 18, (2 1 0)
d = 1.681 Å, 54.61 deg, rel. 17, (2 3 0)
d = 2.054 Å, 44.10 deg, rel. 16, (2 1 2)
d = 1.438 Å, 64.82 deg, rel. 16, (2 3 2)
d = 1.799 Å, 50.74 deg, rel. 15, (4 0 0)

# 6
Simulated powder diffractogram of TmAsN2O for λ = 1.5418 Å (Cu Kα), from a PBE-relaxed structure.

Atomic structure:
```
data_TmAsN2O
_chemical_formula_sum 'Tm4 As4 N8 O4'
_symmetry_space_group_name_H-M 'C 1 2/m 1'
_symmetry_Int_Tables_number 12
_symmetry_space_group_name_Hall '-C 2y'
_cell_length_a 7.4456
_cell_length_b 7.5157
_cell_length_c 5.3154
_cell_angle_alpha 90.00
_cell_angle_beta 133.30
_cell_angle_gamma 90.00
loop_
_atom_site_label
_atom_site_fract_x
_atom_site_fract_y
_atom_site_fract_z
Tm1 0.2317 0.0000 0.4714
As1 0.2500 0.2500 0.0000
N1 0.0000 0.1931 0.0000
N2 0.1526 0.5000 0.8937
O1 0.0000 0.1872 0.5000
```

The 10 most intense peaks (2θ from 10° to 80°), in order of falling intensity:
d = 2.695 Å, 33.24 deg, rel. 100, (0 2 1)
d = 2.644 Å, 33.90 deg, rel. 99, (2 2 -1)
d = 2.656 Å, 33.75 deg, rel. 47, (2 0 -2)
d = 2.709 Å, 33.06 deg, rel. 44, (2 0 0)
d = 1.934 Å, 46.98 deg, rel. 25, (0 0 2)
d = 1.861 Å, 48.94 deg, rel. 24, (4 0 -2)
d = 1.879 Å, 48.45 deg, rel. 22, (0 4 0)
d = 1.534 Å, 60.35 deg, rel. 22, (2 4 -2)
d = 1.572 Å, 58.74 deg, rel. 21, (2 2 1)
d = 1.544 Å, 59.91 deg, rel. 21, (2 4 0)

# 7
Simulated powder diffractogram of TmAsN2O for λ = 1.5418 Å (Cu Kα), from a PBE-relaxed structure.

Atomic structure:
```
data_TmAsN2O
_chemical_formula_sum 'Tm2 As2 N4 O2'
_symmetry_space_group_name_H-M 'P m c 21'
_symmetry_Int_Tables_number 26
_symmetry_space_group_name_Hall 'P 2c -2'
_cell_length_a 3.3513
_cell_length_b 6.0268
_cell_length_c 5.6861
_cell_angle_alpha 90.00
_cell_angle_beta 90.00
_cell_angle_gamma 90.00
loop_
_atom_site_label
_atom_site_fract_x
_atom_site_fract_y
_atom_site_fract_z
Tm1 0.0000 0.1498 0.0000
As1 0.5000 0.3353 0.5421
N1 0.0000 0.2119 0.6036
N2 0.5000 0.4067 0.8920
O1 0.5000 0.1066 0.2866
```

The 10 most intense peaks (2θ from 10° to 80°), in order of falling intensity:
d = 2.604 Å, 34.44 deg, rel. 100, (1 1 1)
d = 2.663 Å, 33.66 deg, rel. 68, (0 2 1)
d = 2.843 Å, 31.47 deg, rel. 48, (0 0 2)
d = 2.929 Å, 30.52 deg, rel. 39, (1 1 0)
d = 2.040 Å, 44.41 deg, rel. 31, (1 1 2)
d = 1.474 Å, 63.09 deg, rel. 28, (1 3 2)
d = 1.723 Å, 53.16 deg, rel. 24, (1 3 0)
d = 1.591 Å, 57.96 deg, rel. 23, (1 1 3)
d = 6.027 Å, 14.70 deg, rel. 23, (0 1 0)
d = 4.136 Å, 21.49 deg, rel. 21, (0 1 1)

# 8
Simulated powder diffractogram of Sc4As3W2N3 for λ = 1.5418 Å (Cu Kα), from a PBE-relaxed structure.

Atomic structure:
```
data_Sc4As3W2N3
_chemical_formula_sum 'Sc16 As12 W8 N12'
_symmetry_space_group_name_H-M 'C 1 2/c 1'
_symmetry_Int_Tables_number 15
_symmetry_space_group_name_Hall '-C 2yc'
_cell_length_a 9.9184
_cell_length_b 5.7837
_cell_length_c 12.4311
_cell_angle_alpha 90.00
_cell_angle_beta 105.37
_cell_angle_gamma 90.00
loop_
_atom_site_label
_atom_site_fract_x
_atom_site_fract_y
_atom_site_fract_z
Sc1 0.1173 0.0848 0.1004
Sc2 0.2164 0.0822 0.3997
As1 0.0000 0.1095 0.7500
As2 0.1535 0.4289 0.2500
W1 0.0508 0.4211 0.9163
N1 0.0860 0.2425 0.5004
N2 0.2500 0.2500 0.0000
```

The 10 most intense peaks (2θ from 10° to 80°), in order of falling intensity:
d = 2.331 Å, 38.62 deg, rel. 100, (3 1 -4)
d = 2.343 Å, 38.43 deg, rel. 49, (0 2 3)
d = 4.949 Å, 17.92 deg, rel. 46, (1 1 0)
d = 1.665 Å, 55.15 deg, rel. 25, (3 3 -1)
d = 2.870 Å, 31.16 deg, rel. 23, (3 1 -1)
d = 4.782 Å, 18.56 deg, rel. 20, (2 0 0)
d = 1.998 Å, 45.40 deg, rel. 18, (0 0 6)
d = 1.279 Å, 74.12 deg, rel. 16, (3 3 -7)
d = 1.351 Å, 69.61 deg, rel. 15, (6 2 -5)
d = 2.892 Å, 30.92 deg, rel. 13, (0 2 0)

# 9
Simulated powder diffractogram of Sc2As3W4N3 for λ = 1.5418 Å (Cu Kα), from a PBE-relaxed structure.

Atomic structure:
```
data_Sc2As3W4N3
_chemical_formula_sum 'Sc8 As12 W16 N12'
_symmetry_space_group_name_H-M 'C 1 2/c 1'
_symmetry_Int_Tables_number 15
_symmetry_space_group_name_Hall '-C 2yc'
_cell_length_a 9.8759
_cell_length_b 5.7620
_cell_length_c 12.1645
_cell_angle_alpha 90.00
_cell_angle_beta 105.36
_cell_angle_gamma 90.00
loop_
_atom_site_label
_atom_site_fract_x
_atom_site_fract_y
_atom_site_fract_z
Sc1 0.0534 0.0857 0.3968
As1 0.0000 0.4362 0.2500
As2 0.1770 0.0988 0.7471
W1 0.1120 0.4315 0.5842
W2 0.2135 0.4124 0.9157
N1 0.0783 0.2359 0.0000
N2 0.2500 0.2500 0.5000
```

The 10 most intense peaks (2θ from 10° to 80°), in order of falling intensity:
d = 2.313 Å, 38.94 deg, rel. 100, (3 1 2)
d = 2.302 Å, 39.13 deg, rel. 97, (3 1 -4)
d = 2.319 Å, 38.83 deg, rel. 94, (0 2 3)
d = 4.930 Å, 17.99 deg, rel. 56, (1 1 0)
d = 2.858 Å, 31.29 deg, rel. 51, (3 1 -1)
d = 1.659 Å, 55.39 deg, rel. 51, (3 3 -1)
d = 1.955 Å, 46.45 deg, rel. 36, (0 0 6)
d = 2.881 Å, 31.04 deg, rel. 31, (0 2 0)
d = 4.771 Å, 18.60 deg, rel. 28, (2 0 0)
d = 1.618 Å, 56.93 deg, rel. 25, (0 2 6)

# 10
Simulated powder diffractogram of ZnSiAsN for λ = 1.5418 Å (Cu Kα), from a PBE-relaxed structure.

Atomic structure:
```
data_ZnSiAsN
_chemical_formula_sum 'Zn4 Si4 As4 N4'
_symmetry_space_group_name_H-M 'I 21 21 21'
_symmetry_Int_Tables_number 24
_symmetry_space_group_name_Hall 'I 2b 2c'
_cell_length_a 4.9923
_cell_length_b 5.3851
_cell_length_c 9.4319
_cell_angle_alpha 90.00
_cell_angle_beta 90.00
_cell_angle_gamma 90.00
loop_
_atom_site_label
_atom_site_fract_x
_atom_site_fract_y
_atom_site_fract_z
Zn1 0.0000 0.2500 0.0979
Si1 0.0000 0.2500 0.5920
As1 0.2284 0.5000 0.7500
N1 0.2500 0.0818 0.5000
```

The 10 most intense peaks (2θ from 10° to 80°), in order of falling intensity:
d = 2.892 Å, 30.92 deg, rel. 100, (1 1 2)
d = 1.831 Å, 49.81 deg, rel. 25, (2 2 0)
d = 3.661 Å, 24.31 deg, rel. 22, (1 1 0)
d = 2.205 Å, 40.93 deg, rel. 19, (2 0 2)
d = 2.338 Å, 38.50 deg, rel. 18, (0 2 2)
d = 1.982 Å, 45.77 deg, rel. 17, (1 1 4)
d = 1.774 Å, 51.52 deg, rel. 17, (0 2 4)
d = 1.714 Å, 53.46 deg, rel. 16, (2 0 4)
d = 1.590 Å, 58.00 deg, rel. 16, (1 3 2)
d = 1.507 Å, 61.55 deg, rel. 12, (3 1 2)

# 11
Simulated powder diffractogram of Zn2Si2As3N for λ = 1.5418 Å (Cu Kα), from a PBE-relaxed structure.

Atomic structure:
```
data_Zn2Si2As3N
_chemical_formula_sum 'Zn4 Si4 As6 N2'
_symmetry_space_group_name_H-M 'C 1 2 1'
_symmetry_Int_Tables_number 5
_symmetry_space_group_name_Hall 'C 2y'
_cell_length_a 11.3463
_cell_length_b 5.4419
_cell_length_c 5.3462
_cell_angle_alpha 90.00
_cell_angle_beta 116.10
_cell_angle_gamma 90.00
loop_
_atom_site_label
_atom_site_fract_x
_atom_site_fract_y
_atom_site_fract_z
Zn1 0.1114 0.0000 0.3237
Si1 0.1093 0.5799 0.8990
As1 0.0000 0.3211 0.5000
As2 0.2489 0.2971 0.2369
N1 0.0000 0.7447 0.0000
```

The 10 most intense peaks (2θ from 10° to 80°), in order of falling intensity:
d = 3.017 Å, 29.61 deg, rel. 100, (3 1 -1)
d = 3.089 Å, 28.90 deg, rel. 73, (1 1 1)
d = 1.907 Å, 47.70 deg, rel. 40, (2 2 -2)
d = 1.860 Å, 48.98 deg, rel. 34, (4 2 0)
d = 2.351 Å, 38.29 deg, rel. 25, (1 1 -2)
d = 1.812 Å, 50.35 deg, rel. 17, (6 0 -2)
d = 1.876 Å, 48.52 deg, rel. 17, (2 0 2)
d = 1.622 Å, 56.74 deg, rel. 16, (1 1 -3)
d = 1.633 Å, 56.33 deg, rel. 16, (1 3 1)
d = 2.912 Å, 30.70 deg, rel. 12, (2 0 1)

# 12
Simulated powder diffractogram of ZnSnAsN for λ = 1.5418 Å (Cu Kα), from a PBE-relaxed structure.

Atomic structure:
```
data_ZnSnAsN
_chemical_formula_sum 'Zn4 Sn4 As4 N4'
_symmetry_space_group_name_H-M 'C 1 c 1'
_symmetry_Int_Tables_number 9
_symmetry_space_group_name_Hall 'C -2yc'
_cell_length_a 7.5978
_cell_length_b 7.6188
_cell_length_c 6.4630
_cell_angle_alpha 90.00
_cell_angle_beta 125.89
_cell_angle_gamma 90.00
loop_
_atom_site_label
_atom_site_fract_x
_atom_site_fract_y
_atom_site_fract_z
Zn1 0.0000 0.1692 0.0000
Sn1 0.4279 0.0989 0.9944
As1 0.3494 0.3905 0.7459
N1 0.3336 0.1252 0.2479
```

The 10 most intense peaks (2θ from 10° to 80°), in order of falling intensity:
d = 3.078 Å, 29.01 deg, rel. 100, (2 0 0)
d = 1.876 Å, 48.52 deg, rel. 37, (2 2 -3)
d = 2.346 Å, 38.37 deg, rel. 24, (1 3 -1)
d = 2.927 Å, 30.54 deg, rel. 20, (1 1 -2)
d = 1.586 Å, 58.16 deg, rel. 14, (2 0 -4)
d = 1.768 Å, 51.71 deg, rel. 11, (3 3 -1)
d = 1.619 Å, 56.87 deg, rel. 10, (2 4 0)
d = 2.341 Å, 38.45 deg, rel. 10, (3 1 -2)
d = 1.982 Å, 45.77 deg, rel. 8, (1 3 1)
d = 1.905 Å, 47.75 deg, rel. 7, (0 4 0)